This entry pairs a crystal structure of RbPmCoO4 with its theoretical PXRD pattern. Radiation: λ = 1.5418 Å (Cu Kα). Structure: a cell relaxed with GGA+U.

Most intense lines, 5° ≤ 2θ ≤ 70°, sorted by position:
d = 7.419 Å, I 100, hkl 0 0 1
d = 3.850 Å, I 38, hkl 1 1 -1
d = 3.501 Å, I 29, hkl 1 0 -2
d = 3.307 Å, I 88, hkl 1 1 1
d = 3.146 Å, I 46, hkl 0 1 2
d = 3.016 Å, I 30, hkl 1 1 -2
d = 2.969 Å, I 67, hkl 0 2 0
d = 2.756 Å, I 33, hkl 2 0 0
d = 2.547 Å, I 38, hkl 2 1 -1
d = 2.224 Å, I 32, hkl 2 1 1

Crystal structure
```
RbPmCoO4
1.0
5.686 0.000 0.000
0.000 5.938 0.000
-1.876 0.000 7.419
Rb Pm Co O
2 2 2 8
direct
0.176 0.250 0.086 Rb
0.824 0.750 0.914 Rb
0.187 0.750 0.470 Pm
0.813 0.250 0.530 Pm
0.360 0.250 0.679 Co
0.640 0.750 0.321 Co
0.154 0.017 0.689 O
0.154 0.483 0.689 O
0.333 0.750 0.198 O
0.386 0.250 0.449 O
0.614 0.750 0.551 O
0.667 0.250 0.802 O
0.846 0.517 0.311 O
0.846 0.983 0.311 O
```